Structure and calculated powder diffraction line list of K2HgC4N4 (a DFT-relaxed cell (PBE, the Materials Project); Cu Kα (λ = 1.5418 Å)).
Neutral-atom scattering factors, no anomalous dispersion.

Principal peaks in the range 2θ from 10° to 80°, in order of rising 2θ:
2θ = 11.8°, rel. 376; 2θ = 19.3°, rel. 962; 2θ = 22.6°, rel. 1000; 2θ = 29.9°, rel. 159; 2θ = 33.7°, rel. 408; 2θ = 35.8°, rel. 423; 2θ = 39.1°, rel. 422; 2θ = 44.0°, rel. 169; 2θ = 52.6°, rel. 300; 2θ = 54.1°, rel. 275

Cell: 13.026 13.026 13.026 Å, 90.00 90.00 90.00°
Space group Fd-3m (No. 227, origin choice 2)
Symmetry-distinct sites (fractional):
K: 0.000 0.000 0.000 (multiplicity 16)
Hg: 0.125 0.125 0.625 (multiplicity 8)
C: 0.027 0.027 0.723 (multiplicity 32)
N: 0.025 0.025 0.225 (multiplicity 32)

***

Structure and calculated powder diffraction line list of Mg5Si9 (a DFT-relaxed cell (PBE, the Materials Project); Cu Kα (λ = 1.5418 Å)).
Neutral-atom scattering factors, no anomalous dispersion.

Principal peaks in the range 2θ from 10° to 80°, in order of rising 2θ:
2θ = 26.9°, rel. 361; 2θ = 29.0°, rel. 398; 2θ = 30.7°, rel. 350; 2θ = 31.4°, rel. 354; 2θ = 32.6°, rel. 1000; 2θ = 34.0°, rel. 383; 2θ = 34.5°, rel. 427; 2θ = 34.6°, rel. 619; 2θ = 37.3°, rel. 605; 2θ = 38.5°, rel. 465

```
data_Mg5Si9
_chemical_formula_sum 'Mg10 Si18'
_cell_length_a 6.741
_cell_length_b 7.183
_cell_length_c 12.628
_cell_angle_alpha 89.38
_cell_angle_beta 84.49
_cell_angle_gamma 63.34
_space_group_name_H-M_alt 'P 1'
_space_group_IT_number 1
loop_
_space_group_symop_operation_xyz
'x,y,z'
loop_
_atom_site_label
_atom_site_fract_x
_atom_site_fract_y
_atom_site_fract_z
Mg1 0.000 0.000 0.000
Mg2 0.001 0.405 0.933
Mg3 0.027 0.745 0.771
Mg4 0.245 0.954 0.242
Mg5 0.266 0.099 0.476
Mg6 0.457 0.779 0.812
Mg7 0.596 0.236 0.855
Mg8 0.609 0.276 0.479
Mg9 0.799 0.371 0.257
Mg10 0.860 0.451 0.636
Si1 0.011 0.652 0.158
Si2 0.066 0.123 0.769
Si3 0.083 0.525 0.459
Si4 0.184 0.381 0.283
Si5 0.259 0.580 0.992
Si6 0.263 0.700 0.537
Si7 0.373 0.183 0.693
Si8 0.384 0.050 0.046
Si9 0.429 0.490 0.682
Si10 0.494 0.692 0.381
Si11 0.523 0.197 0.176
Si12 0.624 0.403 0.051
Si13 0.658 0.704 0.107
Si14 0.693 0.884 0.621
Si15 0.719 0.839 0.935
Si16 0.737 0.825 0.428
Si17 0.827 0.975 0.271
Si18 0.953 0.030 0.605
```

***

Structure and calculated powder diffraction line list of YMg14BiO16 (a DFT-relaxed cell (PBE, the Materials Project); Cu Kα (λ = 1.5418 Å)).
Neutral-atom scattering factors, no anomalous dispersion.

Principal peaks in the range 2θ from 10° to 80°, in order of rising 2θ:
2θ = 20.0°, rel. 440; 2θ = 22.3°, rel. 621; 2θ = 28.1°, rel. 404; 2θ = 30.2°, rel. 380; 2θ = 34.8°, rel. 570; 2θ = 39.6°, rel. 505; 2θ = 40.7°, rel. 1000; 2θ = 58.1°, rel. 589; 2θ = 58.9°, rel. 301; 2θ = 73.4°, rel. 284

```
data_YMg14BiO16
_chemical_formula_sum 'Y1 Mg14 Bi1 O16'
_cell_length_a 4.428
_cell_length_b 8.875
_cell_length_c 9.098
_cell_angle_alpha 90.00
_cell_angle_beta 90.00
_cell_angle_gamma 90.00
_space_group_name_H-M_alt 'P m m m'
_space_group_IT_number 47
loop_
_space_group_symop_operation_xyz
'x,y,z'
'-x,-y,-z'
'-x,-y,z'
'x,y,-z'
'x,-y,-z'
'-x,y,z'
'-x,y,-z'
'x,-y,z'
loop_
_atom_site_label
_atom_site_fract_x
_atom_site_fract_y
_atom_site_fract_z
Y1 0.000 0.000 0.000
Mg1 0.000 0.000 0.500
Mg2 0.000 0.255 0.267
Mg3 0.000 0.500 0.500
Mg4 0.500 0.000 0.267
Mg5 0.500 0.251 0.000
Mg6 0.500 0.251 0.500
Mg7 0.500 0.500 0.268
Bi1 0.000 0.500 0.000
O1 0.000 0.000 0.259
O2 0.000 0.240 0.000
O3 0.000 0.241 0.500
O4 0.000 0.500 0.289
O5 0.500 0.000 0.000
O6 0.500 0.000 0.500
O7 0.500 0.249 0.249
O8 0.500 0.500 0.000
O9 0.500 0.500 0.500
```

***

Copy entry 3 word for word.
Structure and calculated powder diffraction line list of YMg14BiO16 (a DFT-relaxed cell (PBE, the Materials Project); Cu Kα (λ = 1.5418 Å)).
Neutral-atom scattering factors, no anomalous dispersion.

Principal peaks in the range 2θ from 10° to 80°, in order of rising 2θ:
2θ = 20.0°, rel. 440; 2θ = 22.3°, rel. 621; 2θ = 28.1°, rel. 404; 2θ = 30.2°, rel. 380; 2θ = 34.8°, rel. 570; 2θ = 39.6°, rel. 505; 2θ = 40.7°, rel. 1000; 2θ = 58.1°, rel. 589; 2θ = 58.9°, rel. 301; 2θ = 73.4°, rel. 284

```
data_YMg14BiO16
_chemical_formula_sum 'Y1 Mg14 Bi1 O16'
_cell_length_a 4.428
_cell_length_b 8.875
_cell_length_c 9.098
_cell_angle_alpha 90.00
_cell_angle_beta 90.00
_cell_angle_gamma 90.00
_space_group_name_H-M_alt 'P m m m'
_space_group_IT_number 47
loop_
_space_group_symop_operation_xyz
'x,y,z'
'-x,-y,-z'
'-x,-y,z'
'x,y,-z'
'x,-y,-z'
'-x,y,z'
'-x,y,-z'
'x,-y,z'
loop_
_atom_site_label
_atom_site_fract_x
_atom_site_fract_y
_atom_site_fract_z
Y1 0.000 0.000 0.000
Mg1 0.000 0.000 0.500
Mg2 0.000 0.255 0.267
Mg3 0.000 0.500 0.500
Mg4 0.500 0.000 0.267
Mg5 0.500 0.251 0.000
Mg6 0.500 0.251 0.500
Mg7 0.500 0.500 0.268
Bi1 0.000 0.500 0.000
O1 0.000 0.000 0.259
O2 0.000 0.240 0.000
O3 0.000 0.241 0.500
O4 0.000 0.500 0.289
O5 0.500 0.000 0.000
O6 0.500 0.000 0.500
O7 0.500 0.249 0.249
O8 0.500 0.500 0.000
O9 0.500 0.500 0.500
```